Structure and computed X-ray powder pattern of Na4Si23 (a crystal structure in Alexandria, relaxed with GGA-PBE; λ = 1.5418 Å (Cu Kα)).

Structure:
a b c (Å): 10.237 10.237 10.237
angles (deg): 90.00 90.00 90.00
Element x y z (fractional)
1 Na 0.000 0.000 0.000
2 Na 0.000 0.250 0.500
3 Na 0.000 0.750 0.500
4 Na 0.250 0.500 0.000
5 Na 0.500 0.000 0.250
6 Na 0.500 0.000 0.750
7 Na 0.500 0.500 0.500
8 Na 0.750 0.500 0.000
9 Si 0.000 0.308 0.117
10 Si 0.000 0.308 0.883
11 Si 0.000 0.500 0.250
12 Si 0.000 0.500 0.750
13 Si 0.000 0.692 0.117
14 Si 0.000 0.692 0.883
15 Si 0.117 0.000 0.308
16 Si 0.117 0.000 0.692
17 Si 0.184 0.184 0.184
18 Si 0.184 0.184 0.816
19 Si 0.184 0.816 0.184
20 Si 0.184 0.816 0.816
21 Si 0.192 0.500 0.383
22 Si 0.192 0.500 0.617
23 Si 0.250 0.000 0.500
24 Si 0.308 0.117 0.000
25 Si 0.308 0.883 0.000
26 Si 0.316 0.316 0.316
27 Si 0.316 0.316 0.684
28 Si 0.316 0.684 0.316
29 Si 0.316 0.684 0.684
30 Si 0.383 0.192 0.500
31 Si 0.383 0.808 0.500
32 Si 0.500 0.250 0.000
33 Si 0.500 0.383 0.192
34 Si 0.500 0.383 0.808
35 Si 0.500 0.617 0.192
36 Si 0.500 0.617 0.808
37 Si 0.500 0.750 0.000
38 Si 0.617 0.192 0.500
39 Si 0.617 0.808 0.500
40 Si 0.684 0.316 0.316
41 Si 0.684 0.316 0.684
42 Si 0.684 0.684 0.316
43 Si 0.684 0.684 0.684
44 Si 0.692 0.117 0.000
45 Si 0.692 0.883 0.000
46 Si 0.750 0.000 0.500
47 Si 0.808 0.500 0.383
48 Si 0.808 0.500 0.617
49 Si 0.816 0.184 0.184
50 Si 0.816 0.184 0.816
51 Si 0.816 0.816 0.184
52 Si 0.816 0.816 0.816
53 Si 0.883 0.000 0.308
54 Si 0.883 0.000 0.692

Principal peaks in the range 10° ≤ 2θ ≤ 90°, by angle:
d_spacing, 2theta, I (rel.)
2.955, 30.2, 33.3
2.839, 31.5, 35.2
2.736, 32.7, 100.0
2.483, 36.2, 22.0
1.756, 52.1, 54.2
1.661, 55.3, 46.4


Structure and computed X-ray powder pattern of NaSi23 (a crystal structure in Alexandria, relaxed with GGA-PBE; λ = 1.5418 Å (Cu Kα)).

Structure:
a b c (Å): 10.235 10.235 10.235
angles (deg): 90.00 90.00 90.00
Element x y z (fractional)
1 Na 0.000 0.000 0.000
2 Na 0.500 0.500 0.500
3 Si 0.000 0.117 0.308
4 Si 0.000 0.117 0.692
5 Si 0.000 0.250 0.500
6 Si 0.000 0.750 0.500
7 Si 0.000 0.883 0.308
8 Si 0.000 0.883 0.692
9 Si 0.117 0.308 0.000
10 Si 0.117 0.692 0.000
11 Si 0.184 0.184 0.184
12 Si 0.184 0.184 0.816
13 Si 0.184 0.816 0.184
14 Si 0.184 0.816 0.816
15 Si 0.192 0.383 0.500
16 Si 0.192 0.617 0.500
17 Si 0.250 0.500 0.000
18 Si 0.308 0.000 0.117
19 Si 0.308 0.000 0.883
20 Si 0.316 0.316 0.316
21 Si 0.316 0.316 0.684
22 Si 0.316 0.684 0.316
23 Si 0.316 0.684 0.684
24 Si 0.383 0.500 0.192
25 Si 0.383 0.500 0.808
26 Si 0.500 0.000 0.250
27 Si 0.500 0.000 0.750
28 Si 0.500 0.192 0.383
29 Si 0.500 0.192 0.617
30 Si 0.500 0.808 0.383
31 Si 0.500 0.808 0.617
32 Si 0.617 0.500 0.192
33 Si 0.617 0.500 0.808
34 Si 0.684 0.316 0.316
35 Si 0.684 0.316 0.684
36 Si 0.684 0.684 0.316
37 Si 0.684 0.684 0.684
38 Si 0.692 0.000 0.117
39 Si 0.692 0.000 0.883
40 Si 0.750 0.500 0.000
41 Si 0.808 0.383 0.500
42 Si 0.808 0.617 0.500
43 Si 0.816 0.184 0.184
44 Si 0.816 0.184 0.816
45 Si 0.816 0.816 0.184
46 Si 0.816 0.816 0.816
47 Si 0.883 0.308 0.000
48 Si 0.883 0.692 0.000

Principal peaks in the range 10° ≤ 2θ ≤ 90°, by angle:
d_spacing, 2theta, I (rel.)
4.577, 19.4, 86.0
4.178, 21.3, 32.9
2.735, 32.7, 100.0
2.482, 36.2, 29.2
1.755, 52.1, 59.8
1.660, 55.3, 48.4